# 1
La3ReCl3O6: simulated powder X-ray diffraction pattern (Cu Kα X-rays), based on a crystal structure in Alexandria, relaxed with PBE.
Peak positions follow from Bragg's law for the DFT cell and can differ from measured ones.

Largest 10 diffraction maxima, sorted by position, 2θ = 15–90°:
2θ = 24.85°, rel. 49
2θ = 27.14°, rel. 59
2θ = 28.72°, rel. 33
2θ = 32.79°, rel. 29
2θ = 33.16°, rel. 100
2θ = 44.14°, rel. 36
2θ = 46.96°, rel. 20
2θ = 51.22°, rel. 33
2θ = 58.77°, rel. 20
2θ = 61.86°, rel. 19

Structure:
```
La3ReCl3O6
1.0
9.4971 0.0000 0.0000
-4.7486 8.2248 0.0000
0.0000 0.0000 5.4620
La Re Cl O
6 2 6 12
Direct
0.0916 0.4057 0.2500 La
0.3140 0.9084 0.2500 La
0.4057 0.3140 0.7500 La
0.5943 0.6860 0.2500 La
0.6860 0.0916 0.7500 La
0.9084 0.5943 0.7500 La
0.3333 0.6667 0.7500 Re
0.6667 0.3333 0.2500 Re
0.0465 0.2409 0.7500 Cl
0.1944 0.9535 0.7500 Cl
0.2409 0.1944 0.2500 Cl
0.7591 0.8056 0.7500 Cl
0.8056 0.0465 0.2500 Cl
0.9535 0.7591 0.2500 Cl
0.1628 0.6363 0.5219 O
0.1628 0.6363 0.9781 O
0.3637 0.5264 0.5219 O
0.3637 0.5264 0.9781 O
0.4736 0.8372 0.5219 O
0.4736 0.8372 0.9781 O
0.5264 0.1628 0.0219 O
0.5264 0.1628 0.4781 O
0.6363 0.4736 0.0219 O
0.6363 0.4736 0.4781 O
0.8372 0.3637 0.0219 O
0.8372 0.3637 0.4781 O
```

# 2
La6Rh2Cl3O: simulated powder X-ray diffraction pattern (Cu Kα X-rays), based on a crystal structure in Alexandria, relaxed with PBE.
Peak positions follow from Bragg's law for the DFT cell and can differ from measured ones.

Largest 10 diffraction maxima, sorted by position, 2θ = 15–90°:
2θ = 23.43°, rel. 10
2θ = 26.93°, rel. 33
2θ = 30.19°, rel. 100
2θ = 30.30°, rel. 49
2θ = 37.91°, rel. 17
2θ = 41.06°, rel. 45
2θ = 45.40°, rel. 48
2θ = 51.47°, rel. 13
2θ = 55.51°, rel. 23
2θ = 74.37°, rel. 11

Structure:
```
La6Rh2Cl3O
1.0
3.4570 -5.9982 0.0000
3.4570 5.9982 0.0000
-2.2760 0.0000 7.5922
La Rh Cl O
6 2 3 1
Direct
0.0675 0.3782 0.2041 La
0.2412 0.2412 0.7923 La
0.3782 0.0675 0.2041 La
0.6218 0.9325 0.7959 La
0.7588 0.7588 0.2077 La
0.9325 0.6218 0.7959 La
0.3350 0.6650 0.0000 Rh
0.6650 0.3350 0.0000 Rh
0.1802 0.8198 0.5000 Cl
0.5000 0.5000 0.5000 Cl
0.8198 0.1802 0.5000 Cl
0.0000 0.0000 0.0000 O
```

# 3
La4S4Cl2O: simulated powder X-ray diffraction pattern (Cu Kα X-rays), based on a crystal structure in Alexandria, relaxed with PBE.
Peak positions follow from Bragg's law for the DFT cell and can differ from measured ones.

Largest 10 diffraction maxima, sorted by position, 2θ = 15–90°:
2θ = 22.01°, rel. 31
2θ = 25.15°, rel. 50
2θ = 25.28°, rel. 47
2θ = 25.43°, rel. 100
2θ = 33.77°, rel. 50
2θ = 35.25°, rel. 32
2θ = 35.71°, rel. 27
2θ = 38.24°, rel. 35
2θ = 44.64°, rel. 33
2θ = 46.84°, rel. 25

Structure:
```
La4S4Cl2O
1.0
4.6404 -8.1923 0.0000
4.6404 8.1923 0.0000
0.0000 0.0000 7.0452
La S Cl O
8 8 4 2
Direct
0.1077 0.3095 0.5299 La
0.1813 0.8187 0.5000 La
0.3056 0.6944 0.0492 La
0.3095 0.1077 0.0299 La
0.6905 0.8923 0.5299 La
0.6944 0.3056 0.5492 La
0.8187 0.1813 0.0000 La
0.8923 0.6905 0.0299 La
0.0322 0.5536 0.7663 S
0.0405 0.9595 0.7516 S
0.3661 0.6339 0.4272 S
0.4464 0.9678 0.7663 S
0.5536 0.0322 0.2663 S
0.6339 0.3661 0.9272 S
0.9595 0.0405 0.2516 S
0.9678 0.4464 0.2663 S
0.2337 0.3651 0.9262 Cl
0.3651 0.2337 0.4262 Cl
0.6349 0.7663 0.9262 Cl
0.7663 0.6349 0.4262 Cl
0.1678 0.8322 0.1528 O
0.8322 0.1678 0.6528 O
```

# 4
LaSeClO4: simulated powder X-ray diffraction pattern (Cu Kα X-rays), based on a crystal structure in Alexandria, relaxed with PBE.
Peak positions follow from Bragg's law for the DFT cell and can differ from measured ones.

Largest 10 diffraction maxima, sorted by position, 2θ = 15–90°:
2θ = 17.68°, rel. 46
2θ = 23.74°, rel. 100
2θ = 24.61°, rel. 46
2θ = 26.45°, rel. 21
2θ = 28.38°, rel. 43
2θ = 29.23°, rel. 57
2θ = 34.46°, rel. 20
2θ = 34.88°, rel. 42
2θ = 45.30°, rel. 24
2θ = 45.46°, rel. 20

Structure:
```
LaSeClO4
1.0
5.1808 -3.7474 0.0000
5.1808 3.7474 0.0000
-1.7308 0.0000 6.7389
La Se Cl O
2 2 2 8
Direct
0.2241 0.2241 0.1368 La
0.7759 0.7759 0.8632 La
0.3631 0.3631 0.7351 Se
0.6369 0.6369 0.2649 Se
0.0229 0.0229 0.7686 Cl
0.9771 0.9771 0.2314 Cl
0.1410 0.4875 0.8572 O
0.2809 0.2809 0.4994 O
0.4745 0.4745 0.2385 O
0.4875 0.1410 0.8572 O
0.5125 0.8590 0.1428 O
0.5255 0.5255 0.7615 O
0.7191 0.7191 0.5006 O
0.8590 0.5125 0.1428 O
```

# 5
La3Si2ClO8: simulated powder X-ray diffraction pattern (Cu Kα X-rays), based on a crystal structure in Alexandria, relaxed with PBE.
Peak positions follow from Bragg's law for the DFT cell and can differ from measured ones.

Largest 10 diffraction maxima, sorted by position, 2θ = 15–90°:
2θ = 20.17°, rel. 70
2θ = 22.87°, rel. 88
2θ = 25.11°, rel. 62
2θ = 26.08°, rel. 58
2θ = 29.08°, rel. 100
2θ = 29.63°, rel. 76
2θ = 32.41°, rel. 60
2θ = 37.42°, rel. 59
2θ = 42.95°, rel. 63
2θ = 46.17°, rel. 68

Structure:
```
La3Si2ClO8
1.0
7.3217 -3.2767 0.0000
7.3217 3.2767 0.0000
-1.2591 0.0000 8.8049
La Si Cl O
6 4 2 16
Direct
0.0695 0.9305 0.5000 La
0.2123 0.4196 0.0793 La
0.4196 0.2123 0.5793 La
0.5805 0.7878 0.9207 La
0.7878 0.5805 0.4207 La
0.9305 0.0695 0.0000 La
0.1019 0.2141 0.7761 Si
0.2141 0.1019 0.2761 Si
0.7859 0.8981 0.2239 Si
0.8981 0.7859 0.7239 Si
0.4757 0.5237 0.9987 Cl
0.5237 0.4757 0.4987 Cl
0.0364 0.2712 0.5970 O
0.0437 0.7990 0.2172 O
0.0943 0.6182 0.6042 O
0.2009 0.9564 0.7827 O
0.2038 0.3145 0.3308 O
0.2712 0.0364 0.0970 O
0.3145 0.2038 0.8308 O
0.3818 0.9060 0.3959 O
0.6182 0.0943 0.1042 O
0.6856 0.7963 0.6692 O
0.7290 0.9633 0.4031 O
0.7963 0.6856 0.1692 O
0.7990 0.0437 0.7172 O
0.9060 0.3818 0.8959 O
0.9564 0.2009 0.2827 O
0.9633 0.7290 0.9031 O
```

# 6
La3TaCl3O6: simulated powder X-ray diffraction pattern (Cu Kα X-rays), based on a crystal structure in Alexandria, relaxed with PBE.
Peak positions follow from Bragg's law for the DFT cell and can differ from measured ones.

Largest 10 diffraction maxima, sorted by position, 2θ = 15–90°:
2θ = 24.78°, rel. 52
2θ = 27.02°, rel. 55
2θ = 28.32°, rel. 33
2θ = 32.91°, rel. 100
2θ = 33.18°, rel. 28
2θ = 44.17°, rel. 36
2θ = 46.92°, rel. 21
2θ = 50.63°, rel. 34
2θ = 59.12°, rel. 23
2θ = 72.08°, rel. 19

Structure:
```
La3TaCl3O6
1.0
9.6259 0.0000 0.0000
-4.8130 8.3363 0.0000
0.0000 0.0000 5.4004
La Ta Cl O
6 2 6 12
Direct
0.0886 0.4039 0.2500 La
0.3153 0.9114 0.2500 La
0.4039 0.3153 0.7500 La
0.5961 0.6847 0.2500 La
0.6847 0.0886 0.7500 La
0.9114 0.5961 0.7500 La
0.3333 0.6667 0.7500 Ta
0.6667 0.3333 0.2500 Ta
0.0504 0.2408 0.7500 Cl
0.1904 0.9496 0.7500 Cl
0.2408 0.1904 0.2500 Cl
0.7592 0.8096 0.7500 Cl
0.8096 0.0504 0.2500 Cl
0.9496 0.7592 0.2500 Cl
0.1588 0.6350 0.5152 O
0.1588 0.6350 0.9848 O
0.3650 0.5238 0.5152 O
0.3650 0.5238 0.9848 O
0.4762 0.8412 0.5152 O
0.4762 0.8412 0.9848 O
0.5238 0.1588 0.0152 O
0.5238 0.1588 0.4848 O
0.6350 0.4762 0.0152 O
0.6350 0.4762 0.4848 O
0.8412 0.3650 0.0152 O
0.8412 0.3650 0.4848 O
```

# 7
La3TiCl5O4: simulated powder X-ray diffraction pattern (Cu Kα X-rays), based on a crystal structure in Alexandria, relaxed with PBE.
Peak positions follow from Bragg's law for the DFT cell and can differ from measured ones.

Largest 10 diffraction maxima, sorted by position, 2θ = 15–90°:
2θ = 20.79°, rel. 91
2θ = 20.96°, rel. 46
2θ = 25.47°, rel. 22
2θ = 29.57°, rel. 23
2θ = 36.32°, rel. 36
2θ = 36.59°, rel. 100
2θ = 37.86°, rel. 23
2θ = 44.43°, rel. 29
2θ = 49.56°, rel. 29
2θ = 58.89°, rel. 34

Structure:
```
La3TiCl5O4
1.0
16.9542 0.0000 0.0000
0.0000 4.0784 0.0000
0.0000 0.0000 14.8453
La Ti Cl O
12 4 20 16
Direct
0.1205 0.2500 0.0864 La
0.1212 0.7500 0.4234 La
0.1302 0.7500 0.7628 La
0.3698 0.2500 0.2628 La
0.3788 0.2500 0.9234 La
0.3795 0.7500 0.5864 La
0.6205 0.2500 0.4136 La
0.6212 0.7500 0.0766 La
0.6302 0.7500 0.7372 La
0.8698 0.2500 0.2372 La
0.8788 0.2500 0.5766 La
0.8795 0.7500 0.9136 La
0.2088 0.2500 0.5924 Ti
0.2912 0.7500 0.0924 Ti
0.7088 0.2500 0.9076 Ti
0.7912 0.7500 0.4076 Ti
0.0154 0.7500 0.5973 Cl
0.0196 0.7500 0.2126 Cl
0.0550 0.7500 0.9453 Cl
0.1779 0.2500 0.2778 Cl
0.2021 0.2500 0.9013 Cl
0.2979 0.7500 0.4013 Cl
0.3221 0.7500 0.7778 Cl
0.4450 0.2500 0.4453 Cl
0.4804 0.2500 0.7126 Cl
0.4846 0.2500 0.0973 Cl
0.5154 0.7500 0.9027 Cl
0.5196 0.7500 0.2874 Cl
0.5550 0.7500 0.5547 Cl
0.6779 0.2500 0.2222 Cl
0.7021 0.2500 0.5987 Cl
0.7979 0.7500 0.0987 Cl
0.8221 0.7500 0.7222 Cl
0.9450 0.2500 0.0547 Cl
0.9804 0.2500 0.7874 Cl
0.9846 0.2500 0.4027 Cl
0.1525 0.2500 0.4855 O
0.1549 0.2500 0.7011 O
0.1818 0.7500 0.0924 O
0.2087 0.7500 0.5946 O
0.2913 0.2500 0.0946 O
0.3182 0.2500 0.5924 O
0.3451 0.7500 0.2011 O
0.3475 0.7500 0.9855 O
0.6525 0.2500 0.0145 O
0.6549 0.2500 0.7989 O
0.6818 0.7500 0.4076 O
0.7087 0.7500 0.9054 O
0.7913 0.2500 0.4054 O
0.8182 0.2500 0.9076 O
0.8451 0.7500 0.2989 O
0.8475 0.7500 0.5145 O
```

# 8
La3OsCl: simulated powder X-ray diffraction pattern (Cu Kα X-rays), based on a crystal structure in Alexandria, relaxed with PBE.
Peak positions follow from Bragg's law for the DFT cell and can differ from measured ones.

Largest 10 diffraction maxima, sorted by position, 2θ = 15–90°:
2θ = 30.26°, rel. 21
2θ = 30.78°, rel. 48
2θ = 32.42°, rel. 79
2θ = 32.98°, rel. 100
2θ = 34.20°, rel. 53
2θ = 35.00°, rel. 35
2θ = 41.49°, rel. 35
2θ = 43.97°, rel. 31
2θ = 46.06°, rel. 20
2θ = 56.85°, rel. 27

Structure:
```
La3OsCl
1.0
5.6910 -5.9081 0.0000
5.6910 5.9081 0.0000
0.0000 0.0000 4.1184
La Os Cl
6 2 2
Direct
0.0000 0.5000 0.5000 La
0.1452 0.8548 0.0000 La
0.3081 0.3081 0.0000 La
0.5000 0.0000 0.5000 La
0.6919 0.6919 0.0000 La
0.8548 0.1452 0.0000 La
0.1348 0.1348 0.5000 Os
0.8652 0.8652 0.5000 Os
0.3533 0.6467 0.5000 Cl
0.6467 0.3533 0.5000 Cl
```